(1)
Starting from a GGA-PBE-relaxed structure, the powder diffractogram of HfNp4As4 was simulated for Cu Kα (λ = 1.5418 Å).

Main lines, by angle (2θ = 10–90°):
Position (°2θ), d/Å, I/Imax
24.46, 3.640, 83
26.48, 3.366, 60
31.76, 2.817, 47
32.59, 2.747, 41
34.86, 2.574, 100
41.17, 2.193, 61
44.33, 2.044, 53
48.47, 1.878, 25
50.13, 1.820, 35
57.61, 1.600, 29

Structural model:
Lattice parameters (Å, degrees): 7.280 7.280 8.900 90.00 90.00 90.00
Space group I-42m (No. 121)
One atom of each set of equivalent atoms:
Hf 0.000 0.000 0.000 (multiplicity 2)
Np 0.000 0.000 0.346 (multiplicity 4)
Np 0.000 0.500 0.000 (multiplicity 4)
As 0.224 0.224 0.843 (multiplicity 8)

(2)
Starting from a GGA-PBE-relaxed structure, the powder diffractogram of Hf3Np5As8 was simulated for Cu Kα (λ = 1.5418 Å).

Main lines, by angle (2θ = 10–90°):
Position (°2θ), d/Å, I/Imax
27.36, 3.260, 41
31.69, 2.823, 100
45.43, 1.996, 74
53.83, 1.703, 16
56.33, 1.633, 6
56.49, 1.629, 20
66.20, 1.412, 12
75.20, 1.264, 17
75.33, 1.262, 17
84.02, 1.152, 19

Structural model:
Lattice parameters (Å, degrees): 7.9775 7.9775 19.5976 90.00 90.00 120.00
Space group R-3m (No. 166, hexagonal axes)
One atom of each set of equivalent atoms:
Hf 0.0000 0.5000 0.0000 (multiplicity 9)
Np 0.0000 0.0000 0.0000 (multiplicity 3)
Np 0.0000 0.0000 0.5000 (multiplicity 3)
Np 0.0000 0.5000 0.5000 (multiplicity 9)
As 0.0000 0.0000 0.2554 (multiplicity 6)
As 0.0084 0.5042 0.2542 (multiplicity 18)

(3)
Starting from a GGA-PBE-relaxed structure, the powder diffractogram of Hf2As2O was simulated for Cu Kα (λ = 1.5418 Å).

Main lines, by angle (2θ = 10–90°):
Position (°2θ), d/Å, I/Imax
21.56, 4.121, 39
22.70, 3.917, 26
30.69, 2.913, 32
31.50, 2.840, 100
33.13, 2.704, 100
37.12, 2.422, 57
40.82, 2.211, 28
46.36, 1.958, 69
50.59, 1.804, 47
65.56, 1.424, 28

Structural model:
Lattice parameters (Å, degrees): 6.788 5.408 10.371 90.00 90.00 90.00
Space group Pnma (No. 62)
One atom of each set of equivalent atoms:
Hf 0.041 0.250 0.233 (multiplicity 4)
Hf 0.174 0.250 0.557 (multiplicity 4)
As 0.024 0.750 0.220 (multiplicity 4)
As 0.199 0.750 0.540 (multiplicity 4)
O 0.225 0.750 0.867 (multiplicity 4)

(4)
Starting from a GGA-PBE-relaxed structure, the powder diffractogram of HfTl2AsO6 was simulated for Cu Kα (λ = 1.5418 Å).

Main lines, by angle (2θ = 10–90°):
Position (°2θ), d/Å, I/Imax
16.45, 5.389, 29
23.42, 3.798, 73
28.89, 3.091, 100
33.42, 2.681, 26
37.52, 2.397, 31
44.61, 2.031, 54
48.03, 1.894, 23
51.19, 1.784, 20
59.85, 1.545, 16
62.42, 1.488, 21

Structural model:
Lattice parameters (Å, degrees): 6.1815 6.1815 5.3891 90.00 90.00 120.00
Space group P-3m1 (No. 164)
One atom of each set of equivalent atoms:
Hf 0.0000 0.0000 0.0000 (multiplicity 1)
Tl 0.3333 0.6667 0.5538 (multiplicity 2)
As 0.0000 0.0000 0.5000 (multiplicity 1)
O 0.1377 0.2755 0.2816 (multiplicity 6)

(5)
Starting from a GGA-PBE-relaxed structure, the powder diffractogram of Hf2VAsOs was simulated for Cu Kα (λ = 1.5418 Å).

Main lines, by angle (2θ = 10–90°):
Position (°2θ), d/Å, I/Imax
17.54, 5.055, 33
19.79, 4.485, 80
26.57, 3.355, 43
32.02, 2.795, 51
35.52, 2.528, 100
40.21, 2.243, 36
40.99, 2.202, 52
51.11, 1.787, 36
54.72, 1.678, 58
66.95, 1.398, 32

Structural model:
Lattice parameters (Å, degrees): 5.055 5.055 4.485 90.00 90.00 90.00
Space group P4/mmm (No. 123)
One atom of each set of equivalent atoms:
Hf 0.000 0.500 0.000 (multiplicity 2)
V 0.000 0.000 0.500 (multiplicity 1)
As 0.500 0.500 0.500 (multiplicity 1)
Os 0.000 0.000 0.000 (multiplicity 1)

(6)
Starting from a GGA-PBE-relaxed structure, the powder diffractogram of Hf3As2P was simulated for Cu Kα (λ = 1.5418 Å).

Main lines, by angle (2θ = 10–90°):
Position (°2θ), d/Å, I/Imax
28.73, 3.107, 31
28.93, 3.086, 34
33.26, 2.694, 100
33.72, 2.658, 51
47.49, 1.915, 16
48.07, 1.893, 90
59.50, 1.554, 16
59.94, 1.543, 19
79.82, 1.202, 14
80.59, 1.192, 16

Structural model:
Lattice parameters (Å, degrees): 3.791 5.317 11.488 90.00 90.00 90.00
Space group Immm (No. 71)
One atom of each set of equivalent atoms:
Hf 0.000 0.000 0.000 (multiplicity 2)
Hf 0.000 0.000 0.350 (multiplicity 4)
As 0.000 0.500 0.328 (multiplicity 4)
P 0.000 0.500 0.000 (multiplicity 2)

(7)
Starting from a GGA-PBE-relaxed structure, the powder diffractogram of HfAs3P was simulated for Cu Kα (λ = 1.5418 Å).

Main lines, by angle (2θ = 10–90°):
Position (°2θ), d/Å, I/Imax
18.94, 4.687, 8
26.90, 3.314, 30
33.11, 2.706, 100
38.41, 2.343, 67
47.52, 1.913, 13
55.45, 1.657, 46
66.13, 1.413, 41
69.47, 1.353, 16
75.97, 1.253, 7
82.29, 1.172, 7

Structural model:
Lattice parameters (Å, degrees): 4.687 4.687 4.687 90.00 90.00 90.00
Space group Pm-3m (No. 221)
One atom of each set of equivalent atoms:
Hf 0.000 0.000 0.000 (multiplicity 1)
As 0.000 0.500 0.500 (multiplicity 3)
P 0.500 0.500 0.500 (multiplicity 1)

(8)
Starting from a GGA-PBE-relaxed structure, the powder diffractogram of Hf2AsP2 was simulated for Cu Kα (λ = 1.5418 Å).

Main lines, by angle (2θ = 10–90°):
Position (°2θ), d/Å, I/Imax
25.63, 3.476, 17
25.95, 3.433, 74
31.79, 2.815, 70
35.84, 2.505, 58
38.19, 2.357, 31
41.27, 2.187, 100
44.58, 2.032, 44
51.59, 1.771, 36
61.89, 1.499, 21
68.11, 1.377, 46

Structural model:
Lattice parameters (Å, degrees): 3.543 3.543 13.903 90.00 90.00 90.00
Space group I4/mmm (No. 139)
One atom of each set of equivalent atoms:
Hf 0.000 0.000 0.109 (multiplicity 4)
As 0.000 0.000 0.500 (multiplicity 2)
P 0.000 0.500 0.250 (multiplicity 4)

Repeat the fifth record exactly.
Starting from a GGA-PBE-relaxed structure, the powder diffractogram of Hf2VAsOs was simulated for Cu Kα (λ = 1.5418 Å).

Main lines, by angle (2θ = 10–90°):
Position (°2θ), d/Å, I/Imax
17.54, 5.055, 33
19.79, 4.485, 80
26.57, 3.355, 43
32.02, 2.795, 51
35.52, 2.528, 100
40.21, 2.243, 36
40.99, 2.202, 52
51.11, 1.787, 36
54.72, 1.678, 58
66.95, 1.398, 32

Structural model:
Lattice parameters (Å, degrees): 5.055 5.055 4.485 90.00 90.00 90.00
Space group P4/mmm (No. 123)
One atom of each set of equivalent atoms:
Hf 0.000 0.500 0.000 (multiplicity 2)
V 0.000 0.000 0.500 (multiplicity 1)
As 0.500 0.500 0.500 (multiplicity 1)
Os 0.000 0.000 0.000 (multiplicity 1)

Q: What is the formula in the third record?
A: Hf2As2O

Q: What is the formula in the first record?
A: HfNp4As4